# HoWO5
Computed powder diffraction line list, Cu Ka. Input: a cell relaxed with GGA+U.
Peak positions follow from Bragg's law for the DFT cell and can differ from measured ones.

```
28
Lattice="5.309 0.000 0.000 0.000 12.718 0.000 -3.210 0.000 6.185" Properties=species:S:1:pos:R:3 pbc="T T T"
Ho -0.156 0.716 1.756
Ho -1.761 5.643 4.849
Ho 3.860 7.075 1.336
Ho 2.254 12.002 4.429
W -0.689 1.745 5.213
W 0.916 4.614 2.121
W 1.182 8.104 4.064
W 2.787 10.973 0.972
O -1.740 1.071 3.431
O -0.135 5.289 0.339
O -2.158 0.869 5.962
O -0.553 5.490 2.869
O 0.146 8.157 2.585
O -1.459 10.921 5.678
O 0.598 2.877 1.784
O -1.007 3.482 4.876
O -0.095 7.257 5.211
O 1.510 11.821 2.119
O 0.588 0.898 4.066
O 2.194 5.461 0.974
O 3.105 9.236 1.309
O 1.500 9.842 4.401
O 3.558 1.798 0.507
O 1.953 4.562 3.600
O 2.652 7.228 3.316
O 4.257 11.850 0.223
O 2.233 7.430 5.846
O 3.838 11.648 2.753
```

Peak list (10 most intense, 2θ = 10–80°, by intensity)
Position (°2θ)	I/Imax	index
20.09	100	1 1 0
27.52	80	1 3 -1
31.96	63	1 2 1
27.13	54	1 1 -2
13.93	54	0 2 0
22.54	52	1 2 -1
28.32	49	1 3 0
34.65	47	2 1 -1
26.19	46	1 0 -2
29.74	39	0 1 2